The following is a computed powder X-ray diffraction pattern of Ho2ErCd3. It was derived from a cell relaxed with GGA-PBE, using CuKα.

Atomic structure:
```
Ho2ErCd3
1.0
3.7256 0.0000 0.0000
0.0000 3.7256 0.0000
0.0000 0.0000 11.1513
Ho Er Cd
2 1 3
direct
0.0000 0.0000 0.1671
0.0000 0.0000 0.8329
0.0000 0.0000 0.5000
0.5000 0.5000 0.0000
0.5000 0.5000 0.3345
0.5000 0.5000 0.6655
```

Principal peaks in the range 5° ≤ 2θ ≤ 70°, most intense first:
2.632 Å, 34.06°, intensity 100; 1.520 Å, 60.96°, intensity 36; 1.863 Å, 48.89°, intensity 12; 1.859 Å, 49.01°, intensity 6; 3.723 Å, 23.90°, intensity 4; 2.149 Å, 42.04°, intensity 1; 1.666 Å, 55.14°, intensity 1; 1.663 Å, 55.23°, intensity 1



The following is a computed powder X-ray diffraction pattern of Ho2ErCdRh4. It was derived from a cell relaxed with GGA-PBE, using CuKα.

Atomic structure:
```
Ho2ErCdRh4
1.0
2.3746 1.3710 7.7197
-2.3746 1.3710 7.7197
0.0000 -2.7420 7.7197
Ho Er Cd Rh
2 1 1 4
direct
0.2441 0.2441 0.2441
0.7559 0.7559 0.7559
0.0000 0.0000 0.0000
0.5000 0.5000 0.5000
0.1220 0.1220 0.1220
0.3743 0.3743 0.3743
0.6257 0.6257 0.6257
0.8780 0.8780 0.8780
```

Principal peaks in the range 5° ≤ 2θ ≤ 70°, most intense first:
2.375 Å, 37.89°, intensity 100; 2.367 Å, 38.01°, intensity 96; 1.370 Å, 68.48°, intensity 51; 1.677 Å, 54.75°, intensity 33; 1.365 Å, 68.75°, intensity 15; 3.353 Å, 26.58°, intensity 7; 1.745 Å, 52.43°, intensity 3; 2.574 Å, 34.85°, intensity 2; 1.938 Å, 46.88°, intensity 2; 3.075 Å, 29.03°, intensity 2



The following is a computed powder X-ray diffraction pattern of ErCd3In. It was derived from a cell relaxed with GGA-PBE, using CuKα.

Atomic structure:
```
ErCd3In
1.0
5.9833 0.0000 0.0000
2.7007 5.6397 0.0000
1.8608 1.2618 7.3460
Er Cd In
2 6 2
direct
0.1749 0.1611 0.3816
0.8251 0.8389 0.6184
0.0000 0.5000 0.0000
0.1875 0.6980 0.2337
0.3470 0.3589 0.6351
0.5000 0.0000 0.0000
0.6530 0.6411 0.3649
0.8125 0.3020 0.7663
0.2889 0.8128 0.7771
0.7111 0.1872 0.2229
```

Principal peaks in the range 5° ≤ 2θ ≤ 70°, most intense first:
2.583 Å, 34.73°, intensity 100; 2.607 Å, 34.40°, intensity 92; 2.504 Å, 35.86°, intensity 80; 2.465 Å, 36.45°, intensity 58; 2.422 Å, 37.11°, intensity 55; 2.392 Å, 37.60°, intensity 54; 2.334 Å, 38.58°, intensity 49; 2.972 Å, 30.07°, intensity 48; 2.986 Å, 29.93°, intensity 45; 1.629 Å, 56.48°, intensity 24



The following is a computed powder X-ray diffraction pattern of Er2Cd6In. It was derived from a cell relaxed with GGA-PBE, using CuKα.

Atomic structure:
```
Er2Cd6In
1.0
4.3779 2.5276 3.2577
-4.3779 2.5276 3.2577
0.0000 -5.0551 3.2577
Er Cd In
2 6 1
direct
0.1719 0.1719 0.1719
0.8281 0.8281 0.8281
0.0000 0.3320 0.6680
0.0000 0.6680 0.3320
0.3320 0.0000 0.6680
0.3320 0.6680 0.0000
0.6680 0.0000 0.3320
0.6680 0.3320 0.0000
0.5000 0.5000 0.5000
```

Principal peaks in the range 5° ≤ 2θ ≤ 70°, most intense first:
2.613 Å, 34.31°, intensity 100; 2.528 Å, 35.52°, intensity 94; 1.817 Å, 50.21°, intensity 33; 1.475 Å, 63.01°, intensity 33; 1.369 Å, 68.54°, intensity 26; 1.459 Å, 63.78°, intensity 16; 1.629 Å, 56.50°, intensity 8; 1.997 Å, 45.42°, intensity 4; 4.378 Å, 20.28°, intensity 3; 3.258 Å, 27.38°, intensity 3



The following is a computed powder X-ray diffraction pattern of Er5CdIn3. It was derived from a cell relaxed with GGA-PBE, using CuKα.

Atomic structure:
```
Er5CdIn3
1.0
9.1995 0.0000 0.0000
-4.5997 7.9670 0.0000
0.0000 0.0000 6.6142
Er Cd In
10 2 6
direct
0.0000 0.2915 0.2500
0.0000 0.7085 0.7500
0.2915 0.0000 0.2500
0.2915 0.2915 0.7500
0.3333 0.6667 0.0000
0.3333 0.6667 0.5000
0.6667 0.3333 0.0000
0.6667 0.3333 0.5000
0.7085 0.0000 0.7500
0.7085 0.7085 0.2500
0.0000 0.0000 0.0000
0.0000 0.0000 0.5000
0.0000 0.3711 0.7500
0.0000 0.6289 0.2500
0.3711 0.0000 0.7500
0.3711 0.3711 0.2500
0.6289 0.0000 0.2500
0.6289 0.6289 0.7500
```

Principal peaks in the range 5° ≤ 2θ ≤ 70°, most intense first:
2.685 Å, 33.37°, intensity 100; 2.656 Å, 33.75°, intensity 89; 1.888 Å, 48.19°, intensity 30; 2.741 Å, 32.68°, intensity 28; 1.539 Å, 60.13°, intensity 24; 1.404 Å, 66.63°, intensity 24; 1.533 Å, 60.37°, intensity 10; 1.654 Å, 55.58°, intensity 9; 1.399 Å, 66.90°, intensity 9; 1.468 Å, 63.35°, intensity 9



The following is a computed powder X-ray diffraction pattern of ErCdIn. It was derived from a cell relaxed with GGA-PBE, using CuKα.

Atomic structure:
```
ErCdIn
1.0
-2.1399 2.1399 8.7534
2.1399 -2.1399 8.7534
2.1399 2.1399 -8.7534
Er Cd In
2 2 2
direct
0.0000 0.0000 0.0000
0.7500 0.2500 0.5000
0.1731 0.6731 0.5000
0.3269 0.8269 0.5000
0.4213 0.4213 0.0000
0.5787 0.5787 0.0000
```

Principal peaks in the range 5° ≤ 2θ ≤ 70°, most intense first:
2.860 Å, 31.27°, intensity 100; 2.710 Å, 33.05°, intensity 58; 2.140 Å, 42.23°, intensity 40; 2.159 Å, 41.83°, intensity 39; 1.679 Å, 54.65°, intensity 27; 1.520 Å, 60.96°, intensity 25; 3.451 Å, 25.82°, intensity 19; 1.513 Å, 61.26°, intensity 13; 1.771 Å, 51.61°, intensity 8; 1.515 Å, 61.16°, intensity 7



The following is a computed powder X-ray diffraction pattern of Er4Cd3In2. It was derived from a cell relaxed with GGA-PBE, using CuKα.

Atomic structure:
```
Er4Cd3In2
1.0
4.4591 -2.5775 0.0000
4.4591 2.5775 0.0000
-0.0109 0.0000 10.0726
Er Cd In
4 3 2
direct
0.0001 0.0001 0.1735
0.9999 0.9999 0.8265
0.3333 0.3333 0.3829
0.6667 0.6667 0.6171
0.0000 0.0000 0.5000
0.3333 0.3333 0.0328
0.6667 0.6667 0.9672
0.3332 0.3332 0.7071
0.6668 0.6668 0.2929
```

Principal peaks in the range 5° ≤ 2θ ≤ 70°, most intense first:
2.683 Å, 33.40°, intensity 100; 2.576 Å, 34.83°, intensity 91; 1.858 Å, 49.03°, intensity 34; 1.507 Å, 61.54°, intensity 34; 1.487 Å, 62.44°, intensity 16; 1.571 Å, 58.77°, intensity 16; 3.340 Å, 26.69°, intensity 4; 1.406 Å, 66.48°, intensity 3; 4.079 Å, 21.79°, intensity 3; 1.587 Å, 58.13°, intensity 2



The following is a computed powder X-ray diffraction pattern of ErCd6In. It was derived from a cell relaxed with GGA-PBE, using CuKα.

Atomic structure:
```
ErCd6In
1.0
4.7908 0.0000 0.0000
0.0000 3.8603 5.0716
0.0000 -3.8603 5.0716
Er Cd In
1 6 1
direct
0.0000 0.0000 0.0000
0.0000 0.4222 0.4222
0.0000 0.5110 0.9093
0.0000 0.9093 0.5110
0.5000 0.2980 0.7172
0.5000 0.7172 0.2980
0.5000 0.8006 0.8006
0.5000 0.2241 0.2241
```

Principal peaks in the range 5° ≤ 2θ ≤ 70°, most intense first:
2.586 Å, 34.69°, intensity 100; 2.601 Å, 34.48°, intensity 33; 2.395 Å, 37.55°, intensity 29; 2.536 Å, 35.40°, intensity 15; 1.417 Å, 65.93°, intensity 15; 1.593 Å, 57.88°, intensity 12; 2.494 Å, 36.00°, intensity 12; 1.348 Å, 69.78°, intensity 11; 1.741 Å, 52.56°, intensity 9; 2.241 Å, 40.24°, intensity 8



The following is a computed powder X-ray diffraction pattern of Er7CdIn5. It was derived from a cell relaxed with GGA-PBE, using CuKα.

Atomic structure:
```
Er7CdIn5
1.0
-3.2294 5.2395 5.3428
3.2294 -5.2395 5.3428
3.2294 5.2395 -5.3428
Er Cd In
7 1 5
direct
0.0000 0.0000 0.0000
0.2738 0.5904 0.6834
0.3646 0.3646 0.0000
0.4111 0.0792 0.3319
0.7473 0.0792 0.6681
0.8323 0.3323 0.5000
0.9069 0.5904 0.3166
0.6658 0.6658 0.0000
0.0763 0.0771 0.4774
0.0763 0.5989 0.9991
0.3294 0.8294 0.5000
0.5997 0.0771 0.0009
0.5997 0.5989 0.5226
```

Principal peaks in the range 5° ≤ 2θ ≤ 70°, most intense first:
2.445 Å, 36.77°, intensity 100; 2.663 Å, 33.65°, intensity 82; 2.671 Å, 33.55°, intensity 47; 3.072 Å, 29.06°, intensity 45; 2.764 Å, 32.39°, intensity 37; 1.495 Å, 62.10°, intensity 35; 3.229 Å, 27.62°, intensity 34; 2.749 Å, 32.57°, intensity 33; 2.352 Å, 38.26°, intensity 30; 1.536 Å, 60.24°, intensity 27



The following is a computed powder X-ray diffraction pattern of Er3Cd2In2. It was derived from a cell relaxed with GGA-PBE, using CuKα.

Atomic structure:
```
Er3Cd2In2
1.0
2.3715 -11.0326 0.0000
2.3715 11.0326 0.0000
0.0000 0.0000 3.3554
Er Cd In
3 2 2
direct
0.0000 0.0000 0.0000
0.1540 0.8460 0.0000
0.8460 0.1540 0.0000
0.2846 0.7154 0.5000
0.7154 0.2846 0.5000
0.4234 0.5766 0.5000
0.5766 0.4234 0.5000
```

Principal peaks in the range 5° ≤ 2θ ≤ 70°, most intense first:
2.625 Å, 34.15°, intensity 100; 2.718 Å, 32.95°, intensity 98; 2.479 Å, 36.24°, intensity 56; 1.414 Å, 66.10°, intensity 43; 2.371 Å, 37.94°, intensity 41; 1.714 Å, 53.47°, intensity 37; 1.443 Å, 64.60°, intensity 24; 2.567 Å, 34.95°, intensity 16; 1.370 Å, 68.51°, intensity 14; 1.678 Å, 54.71°, intensity 14



The following is a computed powder X-ray diffraction pattern of Er4CdInO. It was derived from a cell relaxed with GGA-PBE, using CuKα.

Atomic structure:
```
Er4CdInO
1.0
3.2702 -7.9526 0.0000
3.2702 7.9526 0.0000
0.0000 0.0000 6.5416
Er Cd In O
8 2 2 2
direct
0.0000 0.5000 0.0000
0.0000 0.5000 0.5000
0.0772 0.9228 0.7500
0.4189 0.5811 0.7500
0.5000 0.0000 0.0000
0.5000 0.0000 0.5000
0.5811 0.4189 0.2500
0.9228 0.0772 0.2500
0.1156 0.8844 0.2500
0.8844 0.1156 0.7500
0.3868 0.6132 0.2500
0.6132 0.3868 0.7500
0.2510 0.7490 0.7500
0.7490 0.2510 0.2500
```

Principal peaks in the range 5° ≤ 2θ ≤ 70°, most intense first:
2.526 Å, 35.54°, intensity 100; 3.025 Å, 29.53°, intensity 99; 2.313 Å, 38.95°, intensity 71; 1.743 Å, 52.51°, intensity 42; 2.651 Å, 33.81°, intensity 37; 1.373 Å, 68.33°, intensity 30; 2.621 Å, 34.21°, intensity 25; 1.635 Å, 56.26°, intensity 24; 1.438 Å, 64.81°, intensity 22; 1.392 Å, 67.27°, intensity 20



The following is a computed powder X-ray diffraction pattern of SrErCdIn. It was derived from a cell relaxed with GGA-PBE, using CuKα.

Atomic structure:
```
SrErCdIn
1.0
3.8381 0.0000 0.0000
0.0000 3.8381 0.0000
0.0000 0.0000 7.9533
Sr Er Cd In
1 1 1 1
direct
0.0000 0.0000 0.0000
0.0000 0.0000 0.5051
0.5000 0.5000 0.7183
0.5000 0.5000 0.2812
```

Principal peaks in the range 5° ≤ 2θ ≤ 70°, most intense first:
2.762 Å, 32.42°, intensity 100; 2.714 Å, 33.00°, intensity 51; 1.576 Å, 58.57°, intensity 36; 7.953 Å, 11.12°, intensity 20; 1.919 Å, 47.37°, intensity 18; 1.604 Å, 57.45°, intensity 15; 2.181 Å, 41.39°, intensity 10; 1.381 Å, 67.88°, intensity 9; 1.988 Å, 45.63°, intensity 8; 1.357 Å, 69.24°, intensity 6



The following is a computed powder X-ray diffraction pattern of ErTlCdIn. It was derived from a cell relaxed with GGA-PBE, using CuKα.

Atomic structure:
```
ErTlCdIn
1.0
4.5482 0.0000 0.0000
0.0000 4.6392 0.0000
0.0000 0.0000 4.6749
Er Tl Cd In
1 1 1 1
direct
0.0000 0.0000 0.0000
0.5000 0.5000 0.0000
0.0000 0.5000 0.5000
0.5000 0.0000 0.5000
```

Principal peaks in the range 5° ≤ 2θ ≤ 70°, most intense first:
2.667 Å, 33.60°, intensity 100; 2.337 Å, 38.51°, intensity 17; 2.320 Å, 38.82°, intensity 17; 2.274 Å, 39.63°, intensity 16; 1.405 Å, 66.56°, intensity 14; 1.397 Å, 66.98°, intensity 13; 1.377 Å, 68.08°, intensity 13; 1.646 Å, 55.84°, intensity 12; 1.630 Å, 56.45°, intensity 11; 1.624 Å, 56.68°, intensity 11



The following is a computed powder X-ray diffraction pattern of Er4CdIr3. It was derived from a cell relaxed with GGA-PBE, using CuKα.

Atomic structure:
```
Er4CdIr3
1.0
4.8311 0.0000 0.0000
0.0000 4.8311 0.0000
0.0000 0.0000 7.1445
Er Cd Ir
4 1 3
direct
0.0000 0.5000 0.2365
0.0000 0.5000 0.7635
0.5000 0.0000 0.2365
0.5000 0.0000 0.7635
0.0000 0.0000 0.5000
0.0000 0.0000 0.0000
0.5000 0.5000 0.0000
0.5000 0.5000 0.5000
```

Principal peaks in the range 5° ≤ 2θ ≤ 70°, most intense first:
2.469 Å, 36.39°, intensity 100; 2.416 Å, 37.22°, intensity 48; 1.405 Å, 66.57°, intensity 35; 1.436 Å, 64.93°, intensity 18; 1.708 Å, 53.66°, intensity 17; 1.786 Å, 51.14°, intensity 9; 7.145 Å, 12.39°, intensity 3; 1.954 Å, 46.48°, intensity 2; 4.002 Å, 22.21°, intensity 1; 4.831 Å, 18.36°, intensity 1